Record 1
For KAg3Se2, DFT lattice parameters and positions (PBE) gives the simulated powder X-ray diffraction pattern in this record (Cu Kα (λ = 1.5418 Å)).
Lines closer than 0.1° are merged.

Principal peaks in the range 10° ≤ 2θ ≤ 90°, in order of rising 2θ:
2θ 10.92, rel. 1000
2θ 31.83, rel. 490
2θ 34.86, rel. 264
2θ 39.49, rel. 266
2θ 39.62, rel. 328
2θ 40.73, rel. 239
2θ 43.19, rel. 101
2θ 44.25, rel. 145
2θ 61.70, rel. 103
2θ 73.35, rel. 92

```
data_KAg3Se2
_cell_length_a 8.6665
_cell_length_b 8.6665
_cell_length_c 8.9728
_cell_angle_alpha 114.56
_cell_angle_beta 114.56
_cell_angle_gamma 29.62
_space_group_name_H-M_alt 'P 1'
_space_group_IT_number 1
loop_
_space_group_symop_operation_xyz
'x,y,z'
loop_
_atom_site_label
_atom_site_fract_x
_atom_site_fract_y
_atom_site_fract_z
K1 0.1361 0.1361 0.0513
K2 0.8639 0.8639 0.9487
Ag1 0.0562 0.0562 0.4003
Ag2 0.3134 0.3134 0.5676
Ag3 0.4064 0.4064 0.3528
Ag4 0.5936 0.5936 0.6472
Ag5 0.6866 0.6866 0.4324
Ag6 0.9438 0.9438 0.5997
Se1 0.2020 0.2020 0.7042
Se2 0.4861 0.4861 0.7913
Se3 0.5139 0.5139 0.2087
Se4 0.7980 0.7980 0.2958
```

***

Record 2
For K2Ag4Se3, DFT lattice parameters and positions (PBE) gives the simulated powder X-ray diffraction pattern in this record (Cu Kα (λ = 1.5418 Å)).
Lines closer than 0.1° are merged.

Principal peaks in the range 10° ≤ 2θ ≤ 90°, in order of rising 2θ:
2θ 10.23, rel. 1000
2θ 15.65, rel. 120
2θ 30.94, rel. 148
2θ 32.68, rel. 287
2θ 36.17, rel. 148
2θ 36.33, rel. 170
2θ 39.45, rel. 163
2θ 40.14, rel. 277
2θ 40.28, rel. 158
2θ 41.74, rel. 152

```
data_K2Ag4Se3
_cell_length_a 9.3784
_cell_length_b 9.3784
_cell_length_c 12.0645
_cell_angle_alpha 107.78
_cell_angle_beta 107.78
_cell_angle_gamma 27.72
_space_group_name_H-M_alt 'P 1'
_space_group_IT_number 1
loop_
_space_group_symop_operation_xyz
'x,y,z'
loop_
_atom_site_label
_atom_site_fract_x
_atom_site_fract_y
_atom_site_fract_z
K1 0.1637 0.1637 0.3385
K2 0.3139 0.3139 0.1558
K3 0.6861 0.6861 0.8442
K4 0.8363 0.8363 0.6615
Ag1 0.0895 0.0895 0.5880
Ag2 0.0908 0.0908 0.0163
Ag3 0.4822 0.4822 0.8703
Ag4 0.4923 0.4923 0.6225
Ag5 0.5077 0.5077 0.3775
Ag6 0.5178 0.5178 0.1297
Ag7 0.9092 0.9092 0.9837
Ag8 0.9105 0.9105 0.4120
Se1 0.0341 0.0341 0.7774
Se2 0.3383 0.3383 0.8838
Se3 0.3550 0.3550 0.4599
Se4 0.6450 0.6450 0.5401
Se5 0.6617 0.6617 0.1162
Se6 0.9659 0.9659 0.2226
```

***

Record 3
For K2Ag2SnSe4, DFT lattice parameters and positions (PBE) gives the simulated powder X-ray diffraction pattern in this record (Cu Kα (λ = 1.5418 Å)).
Lines closer than 0.1° are merged.

Principal peaks in the range 10° ≤ 2θ ≤ 90°, in order of rising 2θ:
2θ 12.58, rel. 1000
2θ 21.47, rel. 223
2θ 26.24, rel. 206
2θ 28.04, rel. 818
2θ 31.37, rel. 288
2θ 32.36, rel. 390
2θ 38.57, rel. 391
2θ 39.41, rel. 448
2θ 41.71, rel. 513
2θ 68.76, rel. 207

```
data_K2Ag2SnSe4
_cell_length_a 7.6913
_cell_length_b 6.0173
_cell_length_c 12.4779
_cell_angle_alpha 90.00
_cell_angle_beta 113.83
_cell_angle_gamma 90.00
_space_group_name_H-M_alt 'P 1'
_space_group_IT_number 1
loop_
_space_group_symop_operation_xyz
'x,y,z'
loop_
_atom_site_label
_atom_site_fract_x
_atom_site_fract_y
_atom_site_fract_z
K1 0.0000 0.0000 0.0000
K2 0.0000 0.0000 0.5000
K3 0.0000 0.4784 0.2500
K4 0.0000 0.5216 0.7500
Ag1 0.4991 0.2500 0.0319
Ag2 0.4991 0.7500 0.5319
Ag3 0.5009 0.2500 0.4681
Ag4 0.5009 0.7500 0.9681
Sn1 0.5000 0.2492 0.7500
Sn2 0.5000 0.7508 0.2500
Se1 0.2668 0.0309 0.8114
Se2 0.2667 0.4702 0.5736
Se3 0.2667 0.5298 0.0736
Se4 0.2668 0.9691 0.3114
Se5 0.7332 0.0309 0.6886
Se6 0.7333 0.4702 0.9264
Se7 0.7333 0.5298 0.4264
Se8 0.7332 0.9691 0.1886
```

***

Record 4
For K3AgSn3Se8, DFT lattice parameters and positions (PBE) gives the simulated powder X-ray diffraction pattern in this record (Cu Kα (λ = 1.5418 Å)).
Lines closer than 0.1° are merged.

Principal peaks in the range 10° ≤ 2θ ≤ 90°, in order of rising 2θ:
2θ 15.07, rel. 1000
2θ 27.30, rel. 888
2θ 30.41, rel. 493
2θ 33.94, rel. 978
2θ 43.41, rel. 507
2θ 46.33, rel. 233
2θ 46.73, rel. 180
2θ 46.97, rel. 233
2θ 48.99, rel. 214
2θ 51.44, rel. 235

```
data_K3AgSn3Se8
_cell_length_a 8.3149
_cell_length_b 8.3149
_cell_length_c 13.6820
_cell_angle_alpha 90.00
_cell_angle_beta 90.00
_cell_angle_gamma 90.00
_space_group_name_H-M_alt 'P 1'
_space_group_IT_number 1
loop_
_space_group_symop_operation_xyz
'x,y,z'
loop_
_atom_site_label
_atom_site_fract_x
_atom_site_fract_y
_atom_site_fract_z
K1 0.2500 0.2500 0.0000
K2 0.2500 0.2500 0.2740
K3 0.2500 0.2500 0.7260
K4 0.7500 0.7500 0.0000
K5 0.7500 0.7500 0.2740
K6 0.7500 0.7500 0.7260
Ag1 0.2500 0.7500 0.0000
Ag2 0.7500 0.2500 0.0000
Sn1 0.2500 0.7500 0.2408
Sn2 0.2500 0.7500 0.5000
Sn3 0.2500 0.7500 0.7592
Sn4 0.7500 0.2500 0.2408
Sn5 0.7500 0.2500 0.5000
Sn6 0.7500 0.2500 0.7592
Se1 0.0717 0.5717 0.1381
Se2 0.0717 0.9283 0.8619
Se3 0.0855 0.5855 0.6256
Se4 0.0855 0.9145 0.3744
Se5 0.4145 0.5855 0.3744
Se6 0.4145 0.9145 0.6256
Se7 0.4283 0.5717 0.8619
Se8 0.4283 0.9283 0.1381
Se9 0.5717 0.0717 0.8619
Se10 0.5717 0.4283 0.1381
Se11 0.5855 0.0855 0.3744
Se12 0.5855 0.4145 0.6256
Se13 0.9145 0.0855 0.6256
Se14 0.9145 0.4145 0.3744
Se15 0.9283 0.0717 0.1381
Se16 0.9283 0.4283 0.8619
```

***

Record 5
For KTaAg2Se4, DFT lattice parameters and positions (PBE) gives the simulated powder X-ray diffraction pattern in this record (Cu Kα (λ = 1.5418 Å)).
Lines closer than 0.1° are merged.

Principal peaks in the range 10° ≤ 2θ ≤ 90°, in order of rising 2θ:
2θ 13.82, rel. 1000
2θ 15.05, rel. 345
2θ 26.11, rel. 334
2θ 26.65, rel. 196
2θ 32.23, rel. 205
2θ 36.12, rel. 193
2θ 40.61, rel. 617
2θ 41.41, rel. 157
2θ 43.21, rel. 178
2θ 45.61, rel. 190

```
data_KTaAg2Se4
_cell_length_a 8.3758
_cell_length_b 10.4208
_cell_length_c 10.4208
_cell_angle_alpha 145.59
_cell_angle_beta 90.00
_cell_angle_gamma 90.00
_space_group_name_H-M_alt 'P 1'
_space_group_IT_number 1
loop_
_space_group_symop_operation_xyz
'x,y,z'
loop_
_atom_site_label
_atom_site_fract_x
_atom_site_fract_y
_atom_site_fract_z
K1 0.2500 0.1842 0.8158
K2 0.7500 0.8158 0.1842
Ta1 0.2500 0.6594 0.8849
Ta2 0.7500 0.8848 0.6594
Ag1 0.0000 0.7358 0.7358
Ag2 0.2500 0.1578 0.3869
Ag3 0.5000 0.7358 0.7358
Ag4 0.7500 0.3869 0.1578
Se1 0.0064 0.4302 0.6689
Se2 0.2500 0.7728 0.2016
Se3 0.2500 0.9932 0.0131
Se4 0.4936 0.4302 0.6689
Se5 0.5064 0.6689 0.4302
Se6 0.7500 0.0131 0.9932
Se7 0.7500 0.2016 0.7728
Se8 0.9936 0.6689 0.4302
```

***

Record 6
For KAg3Te2, DFT lattice parameters and positions (PBE) gives the simulated powder X-ray diffraction pattern in this record (Cu Kα (λ = 1.5418 Å)).
Lines closer than 0.1° are merged.

Principal peaks in the range 10° ≤ 2θ ≤ 90°, in order of rising 2θ:
2θ 10.32, rel. 568
2θ 10.76, rel. 508
2θ 19.28, rel. 1000
2θ 22.90, rel. 536
2θ 28.70, rel. 346
2θ 36.25, rel. 625
2θ 37.64, rel. 739
2θ 38.38, rel. 424
2θ 38.55, rel. 498
2θ 41.69, rel. 392

```
data_KAg3Te2
_cell_length_a 9.8761
_cell_length_b 9.8761
_cell_length_c 9.7474
_cell_angle_alpha 115.68
_cell_angle_beta 115.68
_cell_angle_gamma 28.00
_space_group_name_H-M_alt 'P 1'
_space_group_IT_number 1
loop_
_space_group_symop_operation_xyz
'x,y,z'
loop_
_atom_site_label
_atom_site_fract_x
_atom_site_fract_y
_atom_site_fract_z
K1 0.0999 0.0999 0.0182
K2 0.9001 0.9001 0.9818
Ag1 0.0776 0.0776 0.6204
Ag2 0.2121 0.2121 0.4034
Ag3 0.2338 0.2338 0.9094
Ag4 0.7662 0.7662 0.0906
Ag5 0.7879 0.7879 0.5966
Ag6 0.9224 0.9224 0.3796
Te1 0.0575 0.0575 0.3180
Te2 0.3117 0.3117 0.2645
Te3 0.6883 0.6883 0.7355
Te4 0.9425 0.9425 0.6820
```

***

Record 7
For KAg3Te2, DFT lattice parameters and positions (PBE) gives the simulated powder X-ray diffraction pattern in this record (Cu Kα (λ = 1.5418 Å)).
Lines closer than 0.1° are merged.

Principal peaks in the range 10° ≤ 2θ ≤ 90°, in order of rising 2θ:
2θ 10.47, rel. 1000
2θ 30.04, rel. 372
2θ 30.38, rel. 123
2θ 33.33, rel. 219
2θ 37.40, rel. 450
2θ 38.01, rel. 322
2θ 38.83, rel. 270
2θ 41.00, rel. 165
2θ 41.54, rel. 171
2θ 58.16, rel. 122

```
data_KAg3Te2
_cell_length_a 9.1462
_cell_length_b 9.1462
_cell_length_c 9.2633
_cell_angle_alpha 113.32
_cell_angle_beta 113.32
_cell_angle_gamma 29.38
_space_group_name_H-M_alt 'P 1'
_space_group_IT_number 1
loop_
_space_group_symop_operation_xyz
'x,y,z'
loop_
_atom_site_label
_atom_site_fract_x
_atom_site_fract_y
_atom_site_fract_z
K1 0.1339 0.1339 0.0483
K2 0.8661 0.8661 0.9517
Ag1 0.0637 0.0637 0.4098
Ag2 0.3079 0.3079 0.5436
Ag3 0.4108 0.4108 0.3710
Ag4 0.5892 0.5892 0.6290
Ag5 0.6921 0.6921 0.4564
Ag6 0.9363 0.9363 0.5902
Te1 0.2049 0.2049 0.7073
Te2 0.4820 0.4820 0.7791
Te3 0.5180 0.5180 0.2209
Te4 0.7951 0.7951 0.2927
```

***

Record 8
For LaAg3, DFT lattice parameters and positions (PBE) gives the simulated powder X-ray diffraction pattern in this record (Cu Kα (λ = 1.5418 Å)).
Lines closer than 0.1° are merged.

Principal peaks in the range 10° ≤ 2θ ≤ 90°, in order of rising 2θ:
2θ 21.34, rel. 6
2θ 35.20, rel. 1000
2θ 50.63, rel. 172
2θ 63.16, rel. 344
2θ 74.42, rel. 105
2θ 85.08, rel. 150

```
data_LaAg3
_cell_length_a 5.0992
_cell_length_b 5.0992
_cell_length_c 5.0992
_cell_angle_alpha 60.00
_cell_angle_beta 60.00
_cell_angle_gamma 60.00
_space_group_name_H-M_alt 'P 1'
_space_group_IT_number 1
loop_
_space_group_symop_operation_xyz
'x,y,z'
loop_
_atom_site_label
_atom_site_fract_x
_atom_site_fract_y
_atom_site_fract_z
La1 0.0000 0.0000 0.0000
Ag1 0.2500 0.2500 0.2500
Ag2 0.5000 0.5000 0.5000
Ag3 0.7500 0.7500 0.7500
```

***

Record 9
For LaMg2Ag, DFT lattice parameters and positions (PBE) gives the simulated powder X-ray diffraction pattern in this record (Cu Kα (λ = 1.5418 Å)).
Lines closer than 0.1° are merged.

Principal peaks in the range 10° ≤ 2θ ≤ 90°, in order of rising 2θ:
2θ 24.46, rel. 538
2θ 34.86, rel. 1000
2θ 43.04, rel. 159
2θ 50.13, rel. 174
2θ 56.54, rel. 209
2θ 62.51, rel. 350
2θ 73.61, rel. 107
2θ 78.90, rel. 99
2θ 84.10, rel. 150
2θ 89.25, rel. 61

```
data_LaMg2Ag
_cell_length_a 5.1473
_cell_length_b 5.1473
_cell_length_c 5.1473
_cell_angle_alpha 60.00
_cell_angle_beta 60.00
_cell_angle_gamma 60.00
_space_group_name_H-M_alt 'P 1'
_space_group_IT_number 1
loop_
_space_group_symop_operation_xyz
'x,y,z'
loop_
_atom_site_label
_atom_site_fract_x
_atom_site_fract_y
_atom_site_fract_z
La1 0.0000 0.0000 0.0000
Mg1 0.2500 0.2500 0.2500
Mg2 0.7500 0.7500 0.7500
Ag1 0.5000 0.5000 0.5000
```

***

Record 10
For LaMgAg2, DFT lattice parameters and positions (PBE) gives the simulated powder X-ray diffraction pattern in this record (Cu Kα (λ = 1.5418 Å)).
Lines closer than 0.1° are merged.

Principal peaks in the range 10° ≤ 2θ ≤ 90°, in order of rising 2θ:
2θ 21.16, rel. 192
2θ 24.48, rel. 33
2θ 34.89, rel. 1000
2θ 41.16, rel. 103
2θ 50.17, rel. 173
2θ 55.03, rel. 44
2θ 62.56, rel. 347
2θ 66.83, rel. 33
2θ 73.67, rel. 106
2θ 84.18, rel. 150

```
data_LaMgAg2
_cell_length_a 5.1434
_cell_length_b 5.1434
_cell_length_c 5.1434
_cell_angle_alpha 60.00
_cell_angle_beta 60.00
_cell_angle_gamma 60.00
_space_group_name_H-M_alt 'P 1'
_space_group_IT_number 1
loop_
_space_group_symop_operation_xyz
'x,y,z'
loop_
_atom_site_label
_atom_site_fract_x
_atom_site_fract_y
_atom_site_fract_z
La1 0.0000 0.0000 0.0000
Mg1 0.5000 0.5000 0.5000
Ag1 0.2500 0.2500 0.2500
Ag2 0.7500 0.7500 0.7500
```

***

Record 11
For La2MgTi2Ag2O8, DFT lattice parameters and positions (PBE) gives the simulated powder X-ray diffraction pattern in this record (Cu Kα (λ = 1.5418 Å)).
Lines closer than 0.1° are merged.

Principal peaks in the range 10° ≤ 2θ ≤ 90°, in order of rising 2θ:
2θ 14.68, rel. 1000
2θ 25.92, rel. 361
2θ 28.21, rel. 436
2θ 31.15, rel. 579
2θ 34.13, rel. 583
2θ 37.33, rel. 381
2θ 38.43, rel. 404
2θ 42.55, rel. 360
2θ 49.04, rel. 343
2θ 66.94, rel. 223

```
data_La2MgTi2Ag2O8
_cell_length_a 3.7152
_cell_length_b 3.7152
_cell_length_c 18.1033
_cell_angle_alpha 90.00
_cell_angle_beta 90.00
_cell_angle_gamma 90.00
_space_group_name_H-M_alt 'P 1'
_space_group_IT_number 1
loop_
_space_group_symop_operation_xyz
'x,y,z'
loop_
_atom_site_label
_atom_site_fract_x
_atom_site_fract_y
_atom_site_fract_z
La1 0.0000 0.5000 0.1436
La2 0.5000 0.0000 0.8564
Mg1 0.5000 0.5000 0.0000
Ti1 0.0000 0.5000 0.7334
Ti2 0.5000 0.0000 0.2666
Ag1 0.0000 0.5000 0.4729
Ag2 0.5000 0.0000 0.5271
O1 0.0000 0.0000 0.2226
O2 0.0000 0.0000 0.7774
O3 0.0000 0.5000 0.6421
O4 0.0000 0.5000 0.9359
O5 0.5000 0.0000 0.0641
O6 0.5000 0.0000 0.3579
O7 0.5000 0.5000 0.2222
O8 0.5000 0.5000 0.7778
```

***

Record 12
For La2MgTi3Ag2O10, DFT lattice parameters and positions (PBE) gives the simulated powder X-ray diffraction pattern in this record (Cu Kα (λ = 1.5418 Å)).
Lines closer than 0.1° are merged.

Principal peaks in the range 10° ≤ 2θ ≤ 90°, in order of rising 2θ:
2θ 21.87, rel. 203
2θ 23.19, rel. 248
2θ 30.09, rel. 1000
2θ 32.79, rel. 595
2θ 33.98, rel. 282
2θ 39.77, rel. 592
2θ 44.59, rel. 200
2θ 47.06, rel. 416
2θ 56.88, rel. 322
2θ 66.83, rel. 212

```
data_La2MgTi3Ag2O10
_cell_length_a 16.4846
_cell_length_b 16.4846
_cell_length_c 16.4846
_cell_angle_alpha 166.55
_cell_angle_beta 166.55
_cell_angle_gamma 19.07
_space_group_name_H-M_alt 'P 1'
_space_group_IT_number 1
loop_
_space_group_symop_operation_xyz
'x,y,z'
loop_
_atom_site_label
_atom_site_fract_x
_atom_site_fract_y
_atom_site_fract_z
La1 0.0673 0.0673 0.0000
La2 0.9327 0.9327 0.0000
Mg1 0.2500 0.7500 0.5000
Ti1 0.3676 0.3676 0.0000
Ti2 0.5000 0.5000 0.0000
Ti3 0.6324 0.6324 0.0000
Ag1 0.1909 0.1909 0.0000
Ag2 0.8091 0.8091 0.0000
O1 0.0000 0.5000 0.5000
O2 0.1186 0.6186 0.5000
O3 0.3126 0.3126 0.0000
O4 0.3814 0.8814 0.5000
O5 0.4399 0.4399 0.0000
O6 0.5000 0.0000 0.5000
O7 0.5601 0.5601 0.0000
O8 0.6186 0.1186 0.5000
O9 0.6874 0.6874 0.0000
O10 0.8814 0.3814 0.5000
```